The following is a computed XRD peak list of Ba2Mn2MoO6. It was derived from the GGA+U geometry in Alexandria, using copper Kα.
Intensities are scaled so that the largest is 100.

Most intense lines, 15° ≤ 2θ ≤ 90°, most intense first:
hkl 1 1 0, 2θ 29.13, I 100
hkl 0 1 5, 2θ 31.38, I 83
hkl 1 2 5, 2θ 53.08, I 42
hkl 2 0 5, 2θ 43.35, I 34
hkl 3 0 0, 2θ 51.65, I 19
hkl 2 2 0, 2θ 60.40, I 18
hkl 3 1 5, 2θ 69.66, I 16
hkl 0 2 4, 2θ 40.12, I 14
hkl 1 0 10, 2θ 57.21, I 13
hkl 2 1 10, 2θ 73.23, I 13

Crystal structure
a = 6.1302 Å, b = 6.1302 Å, c = 16.8973 Å
α = 90.00°, β = 90.00°, γ = 120.00°
Space group R-3m (No. 166, hexagonal axes)
Inequivalent atoms, fractional coordinates:
Ba 0.0000 0.0000 0.2097
Mn 0.0000 0.0000 0.4098
Mo 0.0000 0.0000 0.0000
O 0.0338 0.5169 0.7476